Calculated X-ray powder pattern of TlVBr6 for CuKα, from a crystal structure in Alexandria, relaxed with PBE.

Cell and atoms:
```
data_TlVBr6
_chemical_formula_sum 'Tl3 V3 Br18'
_symmetry_space_group_name_H-M 'R -3 m'
_symmetry_Int_Tables_number 166
_symmetry_space_group_name_Hall '-R 3 2"'
_cell_length_a 7.0972
_cell_length_b 7.0972
_cell_length_c 19.2914
_cell_angle_alpha 90.00
_cell_angle_beta 90.00
_cell_angle_gamma 120.00
loop_
_atom_site_label
_atom_site_fract_x
_atom_site_fract_y
_atom_site_fract_z
Tl1 0.0000 0.0000 0.0000
V1 0.0000 0.0000 0.5000
Br1 0.0084 0.5042 0.0932
```

Most intense lines, 2θ = 5–70°, sorted by position:
2θ = 17.1°, intensity 48; 2θ = 23.4°, intensity 70; 2θ = 27.3°, intensity 38; 2θ = 28.7°, intensity 21; 2θ = 29.4°, intensity 100; 2θ = 30.5°, intensity 57; 2θ = 37.4°, intensity 18; 2θ = 37.8°, intensity 53; 2θ = 43.2°, intensity 34; 2θ = 51.5°, intensity 42; 2θ = 53.0°, intensity 20; 2θ = 56.3°, intensity 24



Calculated X-ray powder pattern of SmZn6Pd6 for CuKα, from a crystal structure in Alexandria, relaxed with PBE.

Cell and atoms:
```
data_SmZn6Pd6
_chemical_formula_sum 'Sm2 Zn12 Pd12'
_symmetry_space_group_name_H-M 'I m m m'
_symmetry_Int_Tables_number 71
_symmetry_space_group_name_Hall '-I 2 2'
_cell_length_a 5.229
_cell_length_b 8.843
_cell_length_c 8.891
_cell_angle_alpha 90.00
_cell_angle_beta 90.00
_cell_angle_gamma 90.00
loop_
_atom_site_label
_atom_site_fract_x
_atom_site_fract_y
_atom_site_fract_z
Sm1 0.000 0.000 0.000
Zn1 0.000 0.261 0.500
Zn2 0.250 0.250 0.250
Pd1 0.000 0.000 0.342
Pd2 0.000 0.344 0.000
Pd3 0.000 0.500 0.313
```

Most intense lines, 2θ = 5–70°, sorted by position:
2θ = 32.0°, intensity 12; 2θ = 34.3°, intensity 24; 2θ = 34.8°, intensity 44; 2θ = 34.9°, intensity 16; 2θ = 40.0°, intensity 54; 2θ = 40.5°, intensity 100; 2θ = 40.8°, intensity 25; 2θ = 45.2°, intensity 37; 2θ = 45.7°, intensity 25; 2θ = 54.7°, intensity 8; 2θ = 61.8°, intensity 11; 2θ = 65.7°, intensity 20



Calculated X-ray powder pattern of PmCuBiIr for CuKα, from a crystal structure in Alexandria, relaxed with PBE.

Cell and atoms:
```
data_PmCuBiIr
_chemical_formula_sum 'Pm4 Cu4 Bi4 Ir4'
_symmetry_space_group_name_H-M 'F -4 3 m'
_symmetry_Int_Tables_number 216
_symmetry_space_group_name_Hall 'F -4 2 3'
_cell_length_a 6.935
_cell_length_b 6.935
_cell_length_c 6.935
_cell_angle_alpha 90.00
_cell_angle_beta 90.00
_cell_angle_gamma 90.00
loop_
_atom_site_label
_atom_site_fract_x
_atom_site_fract_y
_atom_site_fract_z
Pm1 0.000 0.000 0.000
Cu1 0.250 0.250 0.250
Bi1 0.000 0.000 0.500
Ir1 0.250 0.250 0.750
```

Most intense lines, 2θ = 5–70°, sorted by position:
2θ = 22.2°, intensity 11; 2θ = 25.7°, intensity 3; 2θ = 36.7°, intensity 100; 2θ = 43.3°, intensity 6; 2θ = 45.3°, intensity 1; 2θ = 52.8°, intensity 18; 2θ = 58.0°, intensity 3; 2θ = 59.6°, intensity 1; 2θ = 66.0°, intensity 36